(1)
The following is a simulated PXRD pattern of Cs3B6H12S4Br. It was derived from a structure optimized by DFT (PBE), using Cu Ka.

Top 10 peaks for 10 to 90 degrees two-theta, by angle:
d (Å), 2θ (°), I_rel
4.084, 21.76, 100
3.389, 26.30, 36
3.241, 27.52, 27
3.181, 28.05, 42
2.663, 33.66, 35
2.519, 35.64, 20
2.472, 36.34, 28
2.231, 40.44, 21
1.710, 53.60, 23
1.694, 54.13, 20

```
Cs3B6H12S4Br
1.0
10.651 0.000 0.000
-5.326 9.224 0.000
0.000 0.000 8.786
Cs B H S Br
6 12 24 8 2
Direct
0.158 0.316 0.000 Cs
0.158 0.842 0.000 Cs
0.316 0.158 0.500 Cs
0.684 0.842 0.000 Cs
0.842 0.158 0.500 Cs
0.842 0.684 0.500 Cs
0.139 0.570 0.338 B
0.237 0.473 0.626 B
0.237 0.763 0.626 B
0.430 0.570 0.338 B
0.430 0.861 0.338 B
0.473 0.237 0.126 B
0.527 0.763 0.626 B
0.570 0.139 0.838 B
0.570 0.430 0.838 B
0.763 0.237 0.126 B
0.763 0.527 0.126 B
0.861 0.430 0.838 B
0.017 0.508 0.387 H
0.112 0.414 0.670 H
0.112 0.697 0.670 H
0.145 0.572 0.199 H
0.303 0.414 0.670 H
0.303 0.888 0.670 H
0.414 0.112 0.170 H
0.414 0.303 0.170 H
0.428 0.572 0.199 H
0.428 0.855 0.199 H
0.492 0.508 0.387 H
0.492 0.983 0.387 H
0.508 0.017 0.887 H
0.508 0.492 0.887 H
0.572 0.145 0.699 H
0.572 0.428 0.699 H
0.586 0.697 0.670 H
0.586 0.888 0.670 H
0.697 0.112 0.170 H
0.697 0.586 0.170 H
0.855 0.428 0.699 H
0.888 0.303 0.170 H
0.888 0.586 0.170 H
0.983 0.492 0.887 H
0.233 0.465 0.407 S
0.233 0.767 0.407 S
0.333 0.667 0.709 S
0.465 0.233 0.907 S
0.535 0.767 0.407 S
0.667 0.333 0.209 S
0.767 0.233 0.907 S
0.767 0.535 0.907 S
0.000 0.000 0.249 Br
0.000 0.000 0.749 Br
```



(2)
The following is a simulated PXRD pattern of Zr4Co7Ge6. It was derived from a structure optimized by DFT (PBE), using Cu Ka.

Top 10 peaks for 10 to 90 degrees two-theta, by angle:
d (Å), 2θ (°), I_rel
2.790, 32.08, 20
2.495, 35.99, 12
2.278, 39.56, 100
2.109, 42.88, 14
1.973, 46.00, 59
1.860, 48.97, 20
1.682, 54.54, 17
1.395, 67.10, 25
1.248, 76.32, 11
1.190, 80.79, 20

```
Zr4Co7Ge6
1.0
-3.946 3.946 3.946
3.946 -3.946 3.946
3.946 3.946 -3.946
Zr Co Ge
4 7 6
Direct
0.000 0.000 0.500 Zr
0.000 0.500 0.000 Zr
0.500 0.000 0.000 Zr
0.500 0.500 0.500 Zr
0.000 0.000 0.000 Co
0.250 0.500 0.750 Co
0.250 0.750 0.500 Co
0.500 0.250 0.750 Co
0.500 0.750 0.250 Co
0.750 0.250 0.500 Co
0.750 0.500 0.250 Co
0.000 0.319 0.319 Ge
0.000 0.681 0.681 Ge
0.319 0.000 0.319 Ge
0.319 0.319 0.000 Ge
0.681 0.000 0.681 Ge
0.681 0.681 0.000 Ge
```



(3)
The following is a simulated PXRD pattern of Sb8IrRh2. It was derived from a structure optimized by DFT (PBE), using Cu Ka.

Top 10 peaks for 10 to 90 degrees two-theta, by angle:
d (Å), 2θ (°), I_rel
6.342, 13.96, 69
4.420, 20.09, 41
3.074, 29.05, 40
2.990, 29.89, 100
2.520, 35.63, 36
2.210, 40.83, 38
2.204, 40.96, 35
2.029, 44.65, 34
1.935, 46.96, 38
1.922, 47.28, 39

```
Sb8IrRh2
1.0
5.245 0.000 0.000
0.050 7.725 0.000
0.057 2.677 7.258
Sb Ir Rh
8 1 2
Direct
0.195 0.170 0.170 Sb
0.195 0.707 0.125 Sb
0.196 0.124 0.708 Sb
0.248 0.590 0.586 Sb
0.752 0.410 0.414 Sb
0.804 0.876 0.292 Sb
0.805 0.293 0.875 Sb
0.805 0.830 0.830 Sb
0.500 0.000 0.000 Ir
0.264 0.373 0.373 Rh
0.736 0.627 0.627 Rh
```



(4)
The following is a simulated PXRD pattern of Y5Si2H. It was derived from a structure optimized by DFT (PBE), using Cu Ka.

Top 10 peaks for 10 to 90 degrees two-theta, by angle:
d (Å), 2θ (°), I_rel
5.237, 16.93, 19
4.149, 21.42, 15
3.375, 26.40, 17
2.618, 34.25, 100
2.387, 37.69, 39
2.073, 43.65, 17
1.688, 54.36, 13
1.566, 58.99, 20
1.420, 65.78, 14
1.418, 65.89, 14

```
Y5Si2H
1.0
0.000 4.779 4.149
4.769 0.000 4.149
4.769 4.779 0.000
Y Si H
5 2 1
Direct
0.000 0.000 0.000 Y
0.006 0.504 0.496 Y
0.006 0.505 0.994 Y
0.504 0.006 0.994 Y
0.505 0.006 0.495 Y
0.004 0.004 0.496 Si
0.504 0.504 0.996 Si
0.735 0.735 0.265 H
```



(5)
The following is a simulated PXRD pattern of Ac3TlH2. It was derived from a structure optimized by DFT (PBE), using Cu Ka.

Top 10 peaks for 10 to 90 degrees two-theta, by angle:
d (Å), 2θ (°), I_rel
3.177, 28.09, 100
2.747, 32.59, 24
2.461, 36.50, 8
2.078, 43.56, 12
2.011, 45.09, 9
1.834, 49.72, 12
1.699, 53.98, 14
1.656, 55.48, 13
1.622, 56.75, 9
1.298, 72.89, 7

```
Ac3TlH2
1.0
4.920 -6.363 0.000
4.920 6.363 0.000
0.000 0.000 5.491
Ac Tl H
6 2 4
Direct
0.112 0.888 0.750 Ac
0.184 0.412 0.750 Ac
0.412 0.184 0.250 Ac
0.588 0.816 0.750 Ac
0.816 0.588 0.250 Ac
0.888 0.112 0.250 Ac
0.308 0.692 0.250 Tl
0.692 0.308 0.750 Tl
0.150 0.150 0.000 H
0.150 0.150 0.500 H
0.850 0.850 0.000 H
0.850 0.850 0.500 H
```



(6)
The following is a simulated PXRD pattern of Ac2Ga4Au5. It was derived from a structure optimized by DFT (PBE), using Cu Ka.

Top 10 peaks for 10 to 90 degrees two-theta, by angle:
d (Å), 2θ (°), I_rel
3.174, 28.12, 39
3.066, 29.13, 77
2.682, 33.40, 100
2.487, 36.11, 70
2.444, 36.78, 29
2.338, 38.51, 57
2.217, 40.70, 20
1.968, 46.12, 28
1.587, 58.13, 44
1.453, 64.10, 20

```
Ac2Ga4Au5
1.0
-3.209 3.936 4.888
3.209 -3.936 4.888
3.209 3.936 -4.888
Ac Ga Au
2 4 5
Direct
0.248 0.000 0.248 Ac
0.752 0.000 0.752 Ac
0.156 0.361 0.795 Ga
0.434 0.639 0.795 Ga
0.566 0.361 0.205 Ga
0.844 0.639 0.205 Ga
0.000 0.500 0.500 Au
0.254 0.528 0.274 Au
0.254 0.980 0.726 Au
0.746 0.020 0.274 Au
0.746 0.472 0.726 Au
```



(7)
The following is a simulated PXRD pattern of Sm6TlAg6. It was derived from a structure optimized by DFT (PBE), using Cu Ka.

Top 10 peaks for 10 to 90 degrees two-theta, by angle:
d (Å), 2θ (°), I_rel
2.976, 30.02, 100
2.739, 32.70, 35
2.614, 34.31, 82
2.576, 34.83, 39
2.331, 38.63, 65
2.306, 39.06, 21
1.719, 53.30, 22
1.556, 59.41, 44
1.487, 62.45, 29
1.307, 72.30, 20

```
Sm6TlAg6
1.0
5.949 0.000 0.000
-2.974 5.152 0.000
0.000 0.000 10.956
Sm Tl Ag
6 1 6
Direct
0.000 0.000 0.166 Sm
0.000 0.000 0.834 Sm
0.333 0.667 0.000 Sm
0.333 0.667 0.500 Sm
0.667 0.333 0.000 Sm
0.667 0.333 0.500 Sm
0.000 0.000 0.500 Tl
0.000 0.500 0.258 Ag
0.000 0.500 0.742 Ag
0.500 0.000 0.258 Ag
0.500 0.000 0.742 Ag
0.500 0.500 0.258 Ag
0.500 0.500 0.742 Ag
```